The following is a computed X-ray diffraction stick pattern of CsAg2SbCl6. It was derived from a cell relaxed with PBE, using λ = 1.5418 Å (Cu Kα).
Intensities are scaled so that the largest is 100.

Main lines, most intense first (2θ from 10° to 80°):
| d/Å | two_theta | intensity |
| --- | --- | --- |
| 3.658 | 24.3 | 100 |
| 3.874 | 23.0 | 78 |
| 2.435 | 36.9 | 49 |
| 2.660 | 33.7 | 48 |
| 2.112 | 42.8 | 48 |
| 3.331 | 26.8 | 42 |
| 5.319 | 16.7 | 39 |
| 2.151 | 42.0 | 38 |
| 2.463 | 36.5 | 33 |
| 1.871 | 48.7 | 31 |
| 1.829 | 49.9 | 23 |
| 3.191 | 28.0 | 21 |

Cell and atoms:
```
CsAg2SbCl6
1.0
7.3109 0.0000 0.0000
-3.6551 6.3407 0.0000
-3.6427 -2.1110 6.5275
Cs Ag Sb Cl
1 2 1 6
Direct
0.0000 0.0000 0.0000
0.4084 0.2035 0.6121
0.4967 0.7478 0.2432
0.0873 0.5433 0.6304
0.2868 0.8107 0.4150
0.3602 0.9362 0.8795
0.4561 0.5190 0.8794
0.6059 0.4759 0.4152
0.9406 0.1295 0.4158
0.9415 0.4224 0.8783
```

The following is a computed X-ray diffraction stick pattern of Cs3SmAg2Cl9. It was derived from a cell relaxed with PBE, using λ = 1.5418 Å (Cu Kα).
Intensities are scaled so that the largest is 100.

Main lines, most intense first (2θ from 10° to 80°):
| d/Å | two_theta | intensity |
| --- | --- | --- |
| 2.695 | 33.2 | 100 |
| 3.797 | 23.4 | 90 |
| 3.825 | 23.3 | 89 |
| 2.198 | 41.1 | 40 |
| 1.899 | 47.9 | 34 |
| 1.913 | 47.5 | 33 |
| 1.436 | 64.9 | 21 |
| 2.192 | 41.2 | 21 |
| 2.214 | 40.8 | 19 |
| 1.701 | 53.9 | 18 |
| 1.552 | 59.6 | 17 |
| 1.708 | 53.7 | 17 |

Cell and atoms:
```
Cs3SmAg2Cl9
1.0
7.5945 0.0000 0.0000
-3.7972 6.5770 0.0000
0.0000 0.0000 9.4054
Cs Sm Ag Cl
3 1 2 9
Direct
0.0000 0.0000 0.0000
0.3333 0.6667 0.6841
0.6667 0.3333 0.3159
0.0000 0.0000 0.5000
0.3333 0.6667 0.1509
0.6667 0.3333 0.8491
0.0000 0.5000 0.0000
0.1674 0.3348 0.3342
0.1674 0.8326 0.3342
0.3348 0.1674 0.6658
0.5000 0.0000 0.0000
0.5000 0.5000 0.0000
0.6652 0.8326 0.3342
0.8326 0.1674 0.6658
0.8326 0.6652 0.6658
```

The following is a computed X-ray diffraction stick pattern of Cs2SrAg2Cl7. It was derived from a cell relaxed with PBE, using λ = 1.5418 Å (Cu Kα).
Intensities are scaled so that the largest is 100.

Main lines, most intense first (2θ from 10° to 80°):
| d/Å | two_theta | intensity |
| --- | --- | --- |
| 3.741 | 23.8 | 100 |
| 3.701 | 24.0 | 88 |
| 2.617 | 34.3 | 82 |
| 2.144 | 42.1 | 45 |
| 2.847 | 31.4 | 36 |
| 1.697 | 54.0 | 28 |
| 1.850 | 49.2 | 28 |
| 2.168 | 41.7 | 25 |
| 2.584 | 34.7 | 20 |
| 1.870 | 48.7 | 19 |
| 1.655 | 55.5 | 17 |
| 3.086 | 28.9 | 17 |

Cell and atoms:
```
Cs2SrAg2Cl7
1.0
-2.6170 2.6170 13.3719
2.6170 -2.6170 13.3719
2.6170 2.6170 -13.3719
Cs Sr Ag Cl
2 1 2 7
Direct
0.1777 0.1777 0.0000
0.8223 0.8223 0.0000
0.0000 0.0000 0.0000
0.4044 0.4044 0.0000
0.5956 0.5956 0.0000
0.0774 0.5774 0.5000
0.3084 0.3084 0.0000
0.4226 0.9226 0.5000
0.5000 0.5000 0.0000
0.5774 0.0774 0.5000
0.6916 0.6916 0.0000
0.9226 0.4226 0.5000
```

The following is a computed X-ray diffraction stick pattern of Cs2TmAg2Cl6. It was derived from a cell relaxed with PBE, using λ = 1.5418 Å (Cu Kα).
Intensities are scaled so that the largest is 100.

Main lines, most intense first (2θ from 10° to 80°):
| d/Å | two_theta | intensity |
| --- | --- | --- |
| 3.853 | 23.1 | 100 |
| 3.746 | 23.8 | 39 |
| 4.244 | 20.9 | 34 |
| 2.225 | 40.6 | 33 |
| 2.888 | 31.0 | 23 |
| 1.926 | 47.2 | 21 |
| 2.057 | 44.0 | 16 |
| 2.087 | 43.4 | 15 |
| 2.649 | 33.8 | 14 |
| 2.120 | 42.7 | 14 |
| 2.331 | 38.6 | 13 |
| 2.484 | 36.2 | 12 |

Cell and atoms:
```
Cs2TmAg2Cl6
1.0
6.6844 -3.8490 0.0000
6.6844 3.8490 0.0000
-4.7386 0.0000 7.4506
Cs Tm Ag Cl
2 1 2 6
Direct
0.2101 0.2101 0.1816
0.7899 0.7899 0.8184
0.0000 0.0000 0.5000
0.4516 0.4516 0.8197
0.5484 0.5484 0.1803
0.1784 0.7125 0.2507
0.2194 0.2194 0.5829
0.2875 0.8216 0.7493
0.7125 0.1784 0.2507
0.7806 0.7806 0.4171
0.8216 0.2875 0.7493
```

The following is a computed X-ray diffraction stick pattern of Cs3Zn2AgCl8. It was derived from a cell relaxed with PBE, using λ = 1.5418 Å (Cu Kα).
Intensities are scaled so that the largest is 100.

Main lines, most intense first (2θ from 10° to 80°):
| d/Å | two_theta | intensity |
| --- | --- | --- |
| 3.713 | 24.0 | 100 |
| 3.864 | 23.0 | 62 |
| 2.677 | 33.5 | 60 |
| 1.857 | 49.1 | 28 |
| 2.172 | 41.6 | 27 |
| 2.144 | 42.1 | 22 |
| 3.051 | 29.3 | 18 |
| 1.932 | 47.0 | 16 |
| 2.881 | 31.0 | 15 |
| 1.714 | 53.5 | 14 |
| 3.221 | 27.7 | 14 |
| 1.673 | 54.9 | 12 |

Cell and atoms:
```
Cs3Zn2AgCl8
1.0
7.4268 0.0000 0.0000
-3.7134 6.4318 0.0000
0.0000 0.0000 9.6652
Cs Zn Ag Cl
3 2 1 8
Direct
0.0000 0.0000 0.0000
0.3333 0.6667 0.6405
0.6667 0.3333 0.3595
0.3333 0.6667 0.2233
0.6667 0.3333 0.7767
0.0000 0.0000 0.5000
0.1681 0.3361 0.3190
0.1681 0.8319 0.3190
0.3333 0.6667 0.9931
0.3361 0.1681 0.6810
0.6639 0.8319 0.3190
0.6667 0.3333 0.0069
0.8319 0.1681 0.6810
0.8319 0.6639 0.6810
```

The following is a computed X-ray diffraction stick pattern of Cu4AgCl7. It was derived from a cell relaxed with PBE, using λ = 1.5418 Å (Cu Kα).
Intensities are scaled so that the largest is 100.

Main lines, most intense first (2θ from 10° to 80°):
| d/Å | two_theta | intensity |
| --- | --- | --- |
| 4.111 | 21.6 | 100 |
| 3.398 | 26.2 | 80 |
| 1.942 | 46.8 | 74 |
| 3.986 | 22.3 | 70 |
| 2.847 | 31.4 | 46 |
| 1.869 | 48.7 | 44 |
| 2.927 | 30.5 | 40 |
| 4.017 | 22.1 | 30 |
| 3.093 | 28.9 | 21 |
| 2.382 | 37.8 | 20 |
| 4.713 | 18.8 | 18 |
| 1.801 | 50.7 | 18 |

Cell and atoms:
```
Cu4AgCl7
1.0
8.1341 -4.7650 0.0000
8.1341 4.7650 0.0000
0.0000 0.0000 7.4705
Cu Ag Cl
8 2 14
Direct
0.0524 0.7226 0.7500
0.2774 0.9476 0.7500
0.3044 0.3044 0.0000
0.3044 0.3044 0.5000
0.6956 0.6956 0.0000
0.6956 0.6956 0.5000
0.7226 0.0524 0.2500
0.9476 0.2774 0.2500
0.2616 0.7384 0.2500
0.7384 0.2616 0.7500
0.0242 0.9758 0.7500
0.1876 0.5815 0.0000
0.1876 0.5815 0.5000
0.2141 0.2300 0.2500
0.2300 0.2141 0.7500
0.4185 0.8124 0.0000
0.4185 0.8124 0.5000
0.5815 0.1876 0.0000
0.5815 0.1876 0.5000
0.7700 0.7859 0.2500
0.7859 0.7700 0.7500
0.8124 0.4185 0.0000
0.8124 0.4185 0.5000
0.9758 0.0242 0.2500
```

The following is a computed X-ray diffraction stick pattern of CuAg5Cl12. It was derived from a cell relaxed with PBE, using λ = 1.5418 Å (Cu Kα).
Intensities are scaled so that the largest is 100.

Main lines, most intense first (2θ from 10° to 80°):
| d/Å | two_theta | intensity |
| --- | --- | --- |
| 6.292 | 14.1 | 100 |
| 3.763 | 23.6 | 59 |
| 2.567 | 35.0 | 30 |
| 2.882 | 31.0 | 26 |
| 1.989 | 45.6 | 17 |
| 3.142 | 28.4 | 15 |
| 2.081 | 43.5 | 15 |
| 2.252 | 40.0 | 13 |
| 2.260 | 39.9 | 13 |
| 2.117 | 42.7 | 12 |
| 1.761 | 51.9 | 11 |
| 2.865 | 31.2 | 10 |

Cell and atoms:
```
CuAg5Cl12
1.0
6.6212 0.0000 0.0000
-1.9447 6.3514 0.0000
-0.0561 -0.0519 12.5845
Cu Ag Cl
1 5 12
Direct
0.0000 0.0000 0.0000
0.1672 0.3338 0.5001
0.3322 0.6685 0.9999
0.5000 0.0000 0.5000
0.6678 0.3315 0.0001
0.8328 0.6662 0.4999
0.0448 0.7462 0.8916
0.1136 0.6136 0.3843
0.2200 0.0531 0.6155
0.2551 0.9550 0.1082
0.3867 0.3877 0.8832
0.4484 0.2809 0.3848
0.5516 0.7191 0.6152
0.6133 0.6123 0.1168
0.7449 0.0450 0.8918
0.7800 0.9469 0.3845
0.8864 0.3864 0.6157
0.9552 0.2538 0.1084
```

The following is a computed X-ray diffraction stick pattern of CuAg5Cl8. It was derived from a cell relaxed with PBE, using λ = 1.5418 Å (Cu Kα).
Intensities are scaled so that the largest is 100.

Main lines, most intense first (2θ from 10° to 80°):
| d/Å | two_theta | intensity |
| --- | --- | --- |
| 3.321 | 26.8 | 100 |
| 1.947 | 46.7 | 69 |
| 2.119 | 42.7 | 39 |
| 2.753 | 32.5 | 37 |
| 1.434 | 65.1 | 22 |
| 3.894 | 22.8 | 20 |
| 6.358 | 13.9 | 14 |
| 1.679 | 54.6 | 13 |
| 1.272 | 74.6 | 12 |
| 1.377 | 68.1 | 10 |
| 2.248 | 40.1 | 10 |
| 1.231 | 77.5 | 10 |

Cell and atoms:
```
CuAg5Cl8
1.0
0.0000 5.5065 5.5065
5.5065 0.0000 5.5065
5.5065 5.5065 0.0000
Cu Ag Cl
1 5 8
Direct
0.0000 0.0000 0.0000
0.1184 0.6272 0.6272
0.2500 0.2500 0.2500
0.6272 0.1184 0.6272
0.6272 0.6272 0.1184
0.6272 0.6272 0.6272
0.3653 0.8782 0.8782
0.3823 0.3823 0.3823
0.3823 0.3823 0.8532
0.3823 0.8532 0.3823
0.8532 0.3823 0.3823
0.8782 0.3653 0.8782
0.8782 0.8782 0.3653
0.8782 0.8782 0.8782
```